No. 1
Starting from a cell relaxed with GGA-PBE, the X-ray powder pattern of KPuBN3 was simulated for λ = 1.5418 Å (Cu Kα).

Cell lengths 5.525, 5.525, 6.263 Å; angles 90.00, 90.00, 120.00 degrees
Fractional positions:
K 0.333 0.667 0.250
K 0.667 0.333 0.750
Pu 0.000 0.000 0.000
Pu 0.000 0.000 0.500
B 0.333 0.667 0.750
B 0.667 0.333 0.250
N 0.178 0.356 0.750
N 0.178 0.822 0.750
N 0.356 0.178 0.250
N 0.644 0.822 0.750
N 0.822 0.178 0.250
N 0.822 0.644 0.250

Largest 12 diffraction maxima, by intensity, 5° ≤ 2θ ≤ 70°:
2θ (°)  d/Å  I (rel.)
18.54  4.785  100
34.22  2.620  66
32.41  2.763  43
47.85  1.901  30
58.98  1.566  30
43.69  2.072  21
50.46  1.809  17
37.59  2.393  14
68.94  1.362  10
62.41  1.488  9
57.80  1.595  8
67.85  1.381  7

No. 2
Starting from a cell relaxed with GGA-PBE, the X-ray powder pattern of KNaB12 was simulated for λ = 1.5418 Å (Cu Kα).

Cell lengths 5.935, 5.935, 5.935 Å; angles 60.00, 60.00, 60.00 degrees
Fractional positions:
K 0.000 0.000 0.000
Na 0.500 0.500 0.500
B 0.099 0.099 0.401
B 0.099 0.401 0.099
B 0.099 0.401 0.401
B 0.401 0.099 0.099
B 0.401 0.099 0.401
B 0.401 0.401 0.099
B 0.599 0.599 0.901
B 0.599 0.901 0.599
B 0.599 0.901 0.901
B 0.901 0.599 0.599
B 0.901 0.599 0.901
B 0.901 0.901 0.599

Largest 12 diffraction maxima, by intensity, 5° ≤ 2θ ≤ 70°:
2θ (°)  d/Å  I (rel.)
30.12  2.967  100
37.11  2.423  55
66.89  1.399  38
48.51  1.877  36
43.11  2.098  29
18.31  4.846  12
35.47  2.531  5
62.61  1.484  4
53.49  1.713  3
47.20  1.925  2
57.02  1.615  1
65.83  1.419  1

No. 3
Starting from a cell relaxed with GGA-PBE, the X-ray powder pattern of KNaSr8B6O18 was simulated for λ = 1.5418 Å (Cu Kα).

Cell lengths 6.977, 11.066, 6.993 Å; angles 90.00, 119.63, 90.00 degrees
Fractional positions:
K 0.000 0.000 0.000
Na 0.737 0.500 0.744
Sr 0.007 0.000 0.528
Sr 0.294 0.500 0.111
Sr 0.427 0.246 0.825
Sr 0.427 0.754 0.825
Sr 0.574 0.225 0.399
Sr 0.574 0.775 0.399
Sr 0.997 0.281 0.254
Sr 0.997 0.719 0.254
B 0.322 0.500 0.572
B 0.408 0.000 0.487
B 0.590 0.000 0.070
B 0.739 0.500 0.172
B 0.997 0.258 0.820
B 0.997 0.742 0.820
O 0.003 0.220 0.632
O 0.003 0.780 0.632
O 0.194 0.273 0.019
O 0.194 0.727 0.019
O 0.276 0.500 0.740
O 0.290 0.109 0.451
O 0.290 0.891 0.451
O 0.361 0.392 0.490
O 0.361 0.608 0.490
O 0.372 0.000 0.910
O 0.627 0.000 0.540
O 0.651 0.391 0.194
O 0.651 0.609 0.194
O 0.710 0.109 0.153
O 0.710 0.891 0.153
O 0.797 0.276 0.813
O 0.797 0.724 0.813
O 0.914 0.500 0.129

Largest 12 diffraction maxima, by intensity, 5° ≤ 2θ ≤ 70°:
2θ (°)  d/Å  I (rel.)
33.66  2.662  100
30.20  2.960  72
32.36  2.766  66
16.66  5.320  53
33.82  2.650  40
39.44  2.285  40
16.02  5.533  38
28.33  3.150  37
41.59  2.171  35
30.53  2.928  34
30.29  2.951  33
14.60  6.067  27